Eu: theoretical PXRD pattern (Cu Kα X-rays), based on the PBE geometry in the Materials Project.
Neutral-atom scattering factors, no anomalous dispersion.

Peak list (5 most intense, 5° ≤ 2θ ≤ 70°, in order of rising 2θ)
Position (°2θ), I (rel.)
27.2, 100
38.8, 20
48.0, 42
56.1, 13
63.4, 18

Structural model:
abc: 4.018 4.018 4.018
angles: 109.47 109.47 109.47
Positions (direct):
Eu 0.000 0.000 0.000